(1)
Diffraction record for AcCePbO6. The PXRD pattern is simulated, not measured: it uses a DFT-relaxed cell (GGA-PBE, Alexandria) and copper Kα.
Kinematic intensities with the Lorentz-polarization factor, no thermal factor.

Atomic structure:
```
data_AcCePbO6
_chemical_formula_sum 'Ac2 Ce2 Pb2 O12'
_space_group_name_H-M_alt 'P 1'
_space_group_IT_number 1
_space_group_name_Hall 'P 1'
_cell_length_a 5.2019
_cell_length_b 5.2019
_cell_length_c 11.3095
_cell_angle_alpha 90.00
_cell_angle_beta 90.00
_cell_angle_gamma 90.00
loop_
_atom_site_label
_atom_site_fract_x
_atom_site_fract_y
_atom_site_fract_z
_atom_site_occupancy
Ac1 0.0000 0.0000 0.0000 1
Ac2 0.5000 0.5000 0.5000 1
Ce1 0.0000 0.0000 0.6734 1
Ce2 0.5000 0.5000 0.1734 1
Pb1 0.0000 0.0000 0.3279 1
Pb2 0.5000 0.5000 0.8279 1
O1 0.1702 0.1702 0.4939 1
O2 0.2003 0.2003 0.1816 1
O3 0.2023 0.2023 0.8204 1
O4 0.2977 0.7023 0.3204 1
O5 0.2997 0.7003 0.6816 1
O6 0.3298 0.6702 0.9939 1
O7 0.6702 0.3298 0.9939 1
O8 0.7003 0.2997 0.6816 1
O9 0.7023 0.2977 0.3204 1
O10 0.7977 0.7977 0.8204 1
O11 0.7997 0.7997 0.1816 1
O12 0.8298 0.8298 0.4939 1
```

Peak list (8 most intense, 2θ from 10° to 90°, by intensity)
2θ (°)	intensity
29.26	100
24.20	97
45.83	74
34.48	29
58.60	21
54.72	21
55.89	18
69.80	17

(2)
Diffraction record for NbAl4Pt5. The PXRD pattern is simulated, not measured: it uses a DFT-relaxed cell (GGA-PBE, Alexandria) and copper Kα.
Kinematic intensities with the Lorentz-polarization factor, no thermal factor.

Atomic structure:
```
data_NbAl4Pt5
_chemical_formula_sum 'Nb1 Al4 Pt5'
_space_group_name_H-M_alt 'P 1'
_space_group_IT_number 1
_space_group_name_Hall 'P 1'
_cell_length_a 2.8424
_cell_length_b 3.2075
_cell_length_c 16.5807
_cell_angle_alpha 90.00
_cell_angle_beta 90.00
_cell_angle_gamma 90.00
loop_
_atom_site_label
_atom_site_fract_x
_atom_site_fract_y
_atom_site_fract_z
_atom_site_occupancy
Nb1 0.0000 0.0000 0.0000 1
Al1 0.0000 0.0000 0.2080 1
Al2 0.0000 0.0000 0.4023 1
Al3 0.0000 0.0000 0.5977 1
Al4 0.0000 0.0000 0.7920 1
Pt1 0.5000 0.5000 0.1162 1
Pt2 0.5000 0.5000 0.3049 1
Pt3 0.5000 0.5000 0.5000 1
Pt4 0.5000 0.5000 0.6951 1
Pt5 0.5000 0.5000 0.8838 1
```

Peak list (8 most intense, 2θ from 10° to 90°, by intensity)
2θ (°)	intensity
39.07	100
42.49	87
41.86	83
27.81	56
26.89	53
31.47	41
51.01	39
73.58	32

(3)
Diffraction record for LiIn2Cu2. The PXRD pattern is simulated, not measured: it uses a DFT-relaxed cell (GGA-PBE, Alexandria) and copper Kα.
Kinematic intensities with the Lorentz-polarization factor, no thermal factor.

Atomic structure:
```
data_LiIn2Cu2
_chemical_formula_sum 'Li2 In4 Cu4'
_space_group_name_H-M_alt 'P 1'
_space_group_IT_number 1
_space_group_name_Hall 'P 1'
_cell_length_a 7.5773
_cell_length_b 7.5773
_cell_length_c 3.1208
_cell_angle_alpha 90.00
_cell_angle_beta 90.00
_cell_angle_gamma 90.00
loop_
_atom_site_label
_atom_site_fract_x
_atom_site_fract_y
_atom_site_fract_z
_atom_site_occupancy
Li1 0.0000 0.0000 0.0000 1
Li2 0.5000 0.5000 0.0000 1
In1 0.1780 0.3220 0.5000 1
In2 0.3220 0.8220 0.5000 1
In3 0.6780 0.1780 0.5000 1
In4 0.8220 0.6780 0.5000 1
Cu1 0.1189 0.6189 0.0000 1
Cu2 0.3811 0.1189 0.0000 1
Cu3 0.6189 0.8811 0.0000 1
Cu4 0.8811 0.3811 0.0000 1
```

Peak list (8 most intense, 2θ from 10° to 90°, by intensity)
2θ (°)	intensity
39.25	100
16.55	42
37.54	24
23.48	24
37.33	22
49.60	18
58.26	16
51.14	12

(4)
Diffraction record for La5Tl6Pb. The PXRD pattern is simulated, not measured: it uses a DFT-relaxed cell (GGA-PBE, Alexandria) and copper Kα.
Kinematic intensities with the Lorentz-polarization factor, no thermal factor.

Atomic structure:
```
data_La5Tl6Pb
_chemical_formula_sum 'La5 Tl6 Pb1'
_space_group_name_H-M_alt 'P 1'
_space_group_IT_number 1
_space_group_name_Hall 'P 1'
_cell_length_a 9.4076
_cell_length_b 9.4076
_cell_length_c 9.4076
_cell_angle_alpha 148.58
_cell_angle_beta 120.06
_cell_angle_gamma 69.25
loop_
_atom_site_label
_atom_site_fract_x
_atom_site_fract_y
_atom_site_fract_z
_atom_site_occupancy
La1 0.0000 0.0000 0.0000 1
La2 0.1720 0.6720 0.5000 1
La3 0.3541 0.3541 0.0000 1
La4 0.6459 0.6459 0.0000 1
La5 0.8280 0.3280 0.5000 1
Tl1 0.0732 0.8296 0.2436 1
Tl2 0.2341 0.5000 0.7341 1
Tl3 0.4140 0.1704 0.2436 1
Tl4 0.5860 0.8296 0.7564 1
Tl5 0.7659 0.5000 0.2659 1
Tl6 0.9268 0.1704 0.7564 1
Pb1 0.5000 0.0000 0.5000 1
```

Peak list (8 most intense, 2θ from 10° to 90°, by intensity)
2θ (°)	intensity
31.16	100
35.24	19
34.76	18
60.70	15
38.31	14
60.08	13
50.34	13
64.84	12